Starting from a DFT-relaxed cell (GGA+U, Alexandria), the XRD peak list of CrNiAgO4 was calculated for Cu Ka.
No peak broadening, texture or thermal motion is included.

Structure:
```
data_CrNiAgO4
_symmetry_space_group_name_H-M 'P 1 21/m 1'
_symmetry_Int_Tables_number 11
_cell_length_a 5.725
_cell_length_b 5.901
_cell_length_c 6.656
_cell_angle_alpha 90.00
_cell_angle_beta 113.91
_cell_angle_gamma 90.00
loop_
_symmetry_equiv_pos_as_xyz
'x,y,z'
'-x,-y,-z'
'-x,y+1/2,-z'
'x,-y+1/2,z'
loop_
_atom_site_label
_atom_site_type_symbol
_atom_site_fract_x
_atom_site_fract_y
_atom_site_fract_z
_atom_site_occupancy
Cr1 Cr 0.125 0.250 0.331 1
Ni1 Ni 0.213 0.750 0.465 1
Ag1 Ag 0.496 0.250 0.909 1
O1 O 0.161 0.250 0.607 1
O2 O 0.215 0.750 0.766 1
O3 O 0.253 0.004 0.287 1
```

Most intense lines, 2θ from 5° to 70°, by angle:
- 17.30°, 5.126 Å, I = 34
- 26.59°, 3.353 Å, I = 66
- 27.29°, 3.268 Å, I = 26
- 30.30°, 2.950 Å, I = 72
- 30.67°, 2.915 Å, I = 38
- 31.27°, 2.860 Å, I = 100
- 35.10°, 2.557 Å, I = 38
- 44.09°, 2.054 Å, I = 34
- 47.39°, 1.918 Å, I = 24
- 57.12°, 1.612 Å, I = 28